Ba2LiEr: calculated XRD peak list (CuKα), based on a cell relaxed with PBE.
Lines closer than 0.1° are merged.

Most intense lines, 2θ = 10–90°, sorted by position:
2θ = 20.1°, I = 288, hkl 0 0 9
2θ = 26.9°, I = 399, hkl 0 0 12
2θ = 27.4°, I = 1000, hkl 1 0 1
2θ = 27.7°, I = 540, hkl 0 1 2
2θ = 35.6°, I = 480, hkl 1 0 10
2θ = 37.2°, I = 542, hkl 0 1 11
2θ = 40.5°, I = 222, hkl 1 0 13
2θ = 48.4°, I = 270, hkl 1 1 0
2θ = 56.2°, I = 307, hkl 1 1 12
2θ = 58.4°, I = 148, hkl 1 0 22

Atomic structure:
```
Ba2LiEr
1.0
3.765 0.000 0.000
-1.882 3.260 0.000
0.000 0.000 39.721
Ba Li Er
6 3 3
Direct
0.000 0.000 0.089
0.000 0.000 0.911
0.333 0.667 0.578
0.333 0.667 0.756
0.667 0.333 0.244
0.667 0.333 0.422
0.000 0.000 0.500
0.333 0.667 0.167
0.667 0.333 0.833
0.000 0.000 0.000
0.333 0.667 0.667
0.667 0.333 0.333
```